# 1
This entry pairs a crystal structure of BaMg2GeN4 with its theoretical powder XRD pattern. Radiation: Cu Ka. Structure: a DFT-relaxed cell (GGA-PBE, Alexandria).
Peak positions follow from Bragg's law for the DFT cell and can differ from measured ones.

Structure:
```
data_BaMg2GeN4
_cell_length_a 6.693
_cell_length_b 6.016
_cell_length_c 5.928
_cell_angle_alpha 90.00
_cell_angle_beta 90.00
_cell_angle_gamma 90.00
_space_group_name_H-M_alt 'P m n 21'
_space_group_IT_number 31
loop_
_space_group_symop_operation_xyz
'x,y,z'
'-x+1/2,-y,z+1/2'
'-x,y,z'
'x+1/2,-y,z+1/2'
loop_
_atom_site_label
_atom_site_fract_x
_atom_site_fract_y
_atom_site_fract_z
Ba1 0.000 0.174 0.000
Mg1 0.243 0.335 0.502
Ge1 0.000 0.824 0.538
N1 0.000 0.122 0.481
N2 0.000 0.745 0.832
N3 0.125 0.620 0.330
```

Largest 6 diffraction maxima, by angle, 10 to 90 degrees two-theta:
| d [Å] | I/Imax | hkl |
| --- | --- | --- |
| 4.223 | 63 | 0 1 1 |
| 3.347 | 36 | 2 0 0 |
| 2.964 | 45 | 0 0 2 |
| 2.924 | 25 | 2 1 0 |
| 2.682 | 42 | 0 2 1 |
| 2.623 | 100 | 2 1 1 |

=====

# 2
This entry pairs a crystal structure of Ba3MgGeN4 with its theoretical powder XRD pattern. Radiation: Cu Ka. Structure: a DFT-relaxed cell (GGA-PBE, Alexandria).
Peak positions follow from Bragg's law for the DFT cell and can differ from measured ones.

Structure:
```
data_Ba3MgGeN4
_cell_length_a 6.292
_cell_length_b 10.722
_cell_length_c 10.268
_cell_angle_alpha 90.00
_cell_angle_beta 90.00
_cell_angle_gamma 90.00
_space_group_name_H-M_alt 'P n n a'
_space_group_IT_number 52
loop_
_space_group_symop_operation_xyz
'x,y,z'
'-x,-y,-z'
'-x+1/2,-y,z'
'x+1/2,y,-z'
'x,-y+1/2,-z+1/2'
'-x,y+1/2,z+1/2'
'-x+1/2,y+1/2,-z+1/2'
'x+1/2,-y+1/2,z+1/2'
loop_
_atom_site_label
_atom_site_fract_x
_atom_site_fract_y
_atom_site_fract_z
Ba1 0.113 0.155 0.091
Ba2 0.250 0.000 0.411
Mg1 0.162 0.250 0.750
Ge1 0.250 0.000 0.734
N1 0.028 0.084 0.834
N2 0.130 0.635 0.865
```

Largest 6 diffraction maxima, by angle, 10 to 90 degrees two-theta:
| d [Å] | I/Imax | hkl |
| --- | --- | --- |
| 3.375 | 93 | 0 3 1 |
| 3.019 | 34 | 2 1 0 |
| 3.007 | 100 | 1 0 3 |
| 2.895 | 69 | 1 1 3 |
| 2.659 | 72 | 1 3 2 |
| 2.623 | 61 | 2 2 1 |

=====

# 3
This entry pairs a crystal structure of Ba4MgGe4O12 with its theoretical powder XRD pattern. Radiation: Cu Ka. Structure: a DFT-relaxed cell (GGA-PBE, Alexandria).
Peak positions follow from Bragg's law for the DFT cell and can differ from measured ones.

Structure:
```
data_Ba4MgGe4O12
_cell_length_a 4.842
_cell_length_b 6.083
_cell_length_c 13.232
_cell_angle_alpha 85.88
_cell_angle_beta 89.33
_cell_angle_gamma 87.68
_space_group_name_H-M_alt 'P 1'
_space_group_IT_number 1
loop_
_space_group_symop_operation_xyz
'x,y,z'
loop_
_atom_site_label
_atom_site_fract_x
_atom_site_fract_y
_atom_site_fract_z
Ba1 0.000 0.000 0.000
Ba2 0.040 0.369 0.547
Ba3 0.519 0.911 0.705
Ba4 0.575 0.545 0.193
Mg1 0.545 0.183 0.402
Ge1 0.003 0.919 0.303
Ge2 0.459 0.497 0.945
Ge3 0.481 0.703 0.448
Ge4 0.964 0.431 0.795
O1 0.017 0.799 0.185
O2 0.028 0.639 0.701
O3 0.031 0.156 0.767
O4 0.088 0.481 0.921
O5 0.350 0.935 0.349
O6 0.380 0.477 0.374
O7 0.509 0.762 0.985
O8 0.536 0.279 0.035
O9 0.560 0.170 0.549
O10 0.592 0.463 0.819
O11 0.850 0.740 0.401
O12 0.852 0.186 0.302
```

Largest 6 diffraction maxima, by angle, 10 to 90 degrees two-theta:
| d [Å] | I/Imax | hkl |
| --- | --- | --- |
| 3.756 | 71 | 1 1 1 |
| 3.688 | 100 | 0 1 3 |
| 3.651 | 70 | 1 1 -1 |
| 3.607 | 75 | -1 1 1 |
| 3.538 | 66 | 1 -1 1 |
| 2.419 | 81 | 2 0 0 |